Computed powder diffractogram of Sr6MgW4O18 for copper Kα, from a DFT-relaxed cell (GGA+U, Alexandria).
Intensities are scaled so that the largest is 100.

Structural model:
```
data_Sr6MgW4O18
_chemical_formula_sum 'Sr6 Mg1 W4 O18'
_cell_length_a 7.399
_cell_length_b 7.692
_cell_length_c 8.652
_cell_angle_alpha 77.78
_cell_angle_beta 79.39
_cell_angle_gamma 78.05
_space_group_name_H-M_alt 'P 1'
_space_group_IT_number 1
loop_
_space_group_symop_operation_xyz
'x,y,z'
loop_
_atom_site_label
_atom_site_type_symbol
_atom_site_fract_x
_atom_site_fract_y
_atom_site_fract_z
_atom_site_occupancy
Sr1 Sr 0.000 0.000 0.000 1
Sr2 Sr 0.062 0.541 0.948 1
Sr3 Sr 0.151 0.199 0.284 1
Sr4 Sr 0.529 0.785 0.284 1
Sr5 Sr 0.598 0.714 0.756 1
Sr6 Sr 0.751 0.278 0.576 1
Mg1 Mg 0.203 0.243 0.622 1
W1 W 0.139 0.872 0.617 1
W2 W 0.466 0.172 0.930 1
W3 W 0.637 0.360 0.119 1
W4 W 0.980 0.677 0.431 1
O1 O 0.008 0.090 0.716 1
O2 O 0.048 0.407 0.471 1
O3 O 0.243 0.769 0.809 1
O4 O 0.246 0.697 0.459 1
O5 O 0.276 0.303 0.808 1
O6 O 0.314 0.018 0.071 1
O7 O 0.320 0.035 0.502 1
O8 O 0.370 0.367 0.088 1
O9 O 0.582 0.352 0.332 1
O10 O 0.589 0.032 0.784 1
O11 O 0.637 0.354 0.857 1
O12 O 0.643 0.092 0.099 1
O13 O 0.650 0.604 0.049 1
O14 O 0.714 0.641 0.492 1
O15 O 0.903 0.289 0.100 1
O16 O 0.955 0.684 0.687 1
O17 O 0.962 0.959 0.443 1
O18 O 0.978 0.720 0.209 1
```

Top 12 peaks for 2θ from 5° to 70°, low angle first:
hkl	2θ/deg	d (Å)	intensity
0 1 1	14.5	6.118	20.6
0 1 -1	17.4	5.095	100.0
1 -1 0	18.7	4.748	51.9
2 0 0	24.9	3.580	32.5
0 2 2	29.2	3.059	34.2
1 1 -2	29.6	3.017	60.7
1 -2 1	31.9	2.809	32.9
-2 1 1	32.0	2.798	32.9
2 2 2	33.4	2.683	28.5
1 3 0	36.4	2.468	25.7
1 1 4	42.1	2.147	20.5
1 4 1	47.4	1.919	20.2